Simulated X-ray powder pattern
Compound: NdP2H2W2O6
Radiation: a wavelength of 1.5418 Å
Structure: a crystal structure in the Materials Project, relaxed with GGA+U
No peak broadening, texture or thermal motion is included.

Cell and atoms:
Cell lengths 6.6769, 7.2174, 19.1975 Å; angles 90.00, 90.00, 90.00 degrees
Space group P2_12_12_1 (No. 19)
One atom of each set of equivalent atoms:
Nd 0.1372 0.0695 0.2428
P 0.0714 0.3393 0.4072
P 0.1742 0.4222 0.7373
H 0.1282 0.3911 0.6660
H 0.2290 0.5984 0.9002
W 0.0048 0.5707 0.5478
W 0.0094 0.9061 0.4468
O 0.0202 0.9427 0.7226
O 0.0262 0.3237 0.4855
O 0.0647 0.1422 0.3720
O 0.0652 0.9760 0.1313
O 0.1905 0.7395 0.2625
O 0.1906 0.4025 0.2389

Main lines, low angle first (5° ≤ 2θ ≤ 70°):
d 6.756, intensity 28.2
d 6.306, intensity 26.4
d 5.769, intensity 31.6
d 4.797, intensity 46.6
d 3.996, intensity 56.5
d 3.338, intensity 28.5
d 3.148, intensity 100.0
d 2.562, intensity 40.6